No. 1
Starting from a cell relaxed with PBE+U, the X-ray diffraction stick pattern of Sm3Ti4CoO14 was computed for Cu Kα (weighted mean of Kα1 and Kα2).
Neutral-atom scattering factors, no anomalous dispersion.

Principal peaks in the range 15° ≤ 2θ ≤ 90°, sorted by position:
(hkl)  2theta  d_spacing  Rel. int.
2 0 2  30.06  2.973  1000
0 0 6  31.04  2.881  298
0 2 4  35.14  2.554  349
2 2 0  49.89  1.828  323
2 0 8  51.18  1.785  300
2 2 6  59.93  1.543  252

a = 7.3112 Å, b = 7.3112 Å, c = 17.2872 Å
α = 90.00°, β = 90.00°, γ = 120.00°
Space group R-3m (No. 166, hexagonal axes)
Unique sites:
Sm 0.0000 0.5000 0.0000 x9
Ti 0.0000 0.0000 0.0000 x3
Ti 0.0000 0.5000 0.5000 x9
Co 0.0000 0.0000 0.5000 x3
O 0.0000 0.0000 0.3886 x6
O 0.0608 0.5304 0.6114 x18
O 0.0735 0.5367 0.8584 x18


No. 2
Starting from a cell relaxed with PBE+U, the X-ray diffraction stick pattern of Sm4MgV4O12 was computed for Cu Kα (weighted mean of Kα1 and Kα2).
Neutral-atom scattering factors, no anomalous dispersion.

Principal peaks in the range 15° ≤ 2θ ≤ 90°, sorted by position:
(hkl)  2theta  d_spacing  Rel. int.
0 0 2  22.23  4.000  363
-1 1 1  25.10  3.548  449
1 1 2  30.36  2.944  327
1 1 -2  31.46  2.844  1000
1 -1 2  31.79  2.815  886
2 0 0  32.44  2.760  422

a = 5.5306 Å, b = 6.0366 Å, c = 8.0038 Å
α = 88.58°, β = 88.57°, γ = 86.72°
Space group P1 (No. 1)
Unique sites:
Sm 0.0000 0.0000 0.0000 x1
Sm 0.0588 0.2057 0.5563 x1
Sm 0.5252 0.7006 0.5586 x1
Sm 0.6180 0.5445 0.0318 x1
Mg 0.1821 0.3600 0.1535 x1
V 0.0554 0.6144 0.7859 x1
V 0.0582 0.6957 0.3275 x1
V 0.5380 0.1283 0.7862 x1
V 0.5637 0.1097 0.2953 x1
O 0.1897 0.6522 0.0496 x1
O 0.2362 0.9336 0.7394 x1
O 0.2482 0.9379 0.3718 x1
O 0.3304 0.4453 0.3590 x1
O 0.3705 0.4197 0.7301 x1
O 0.4145 0.1692 0.0351 x1
O 0.6704 0.0759 0.5515 x1
O 0.7247 0.8184 0.8450 x1
O 0.7571 0.8028 0.2223 x1
O 0.8571 0.3088 0.8386 x1
O 0.8618 0.2880 0.2057 x1
O 0.9231 0.5895 0.5420 x1


No. 3
Starting from a cell relaxed with PBE+U, the X-ray diffraction stick pattern of Ba3Ho2MoO9 was computed for Cu Kα (weighted mean of Kα1 and Kα2).
Neutral-atom scattering factors, no anomalous dispersion.

Principal peaks in the range 15° ≤ 2θ ≤ 90°, sorted by position:
(hkl)  2theta  d_spacing  Rel. int.
3 1 0  29.35  3.043  1000
2 0 4  29.45  3.033  512
2 2 4  42.13  2.145  283
6 0 0  51.99  1.759  208
3 3 0  52.17  1.753  209
5 1 4  52.18  1.753  208

a = 10.5527 Å, b = 6.0670 Å, c = 14.8896 Å
α = 90.00°, β = 90.37°, γ = 90.00°
Space group C2/c (No. 15)
Unique sites:
Ba 0.0000 0.0016 0.2500 x4
Ba 0.1668 0.4990 0.9140 x8
Ho 0.1668 0.4997 0.1680 x8
Mo 0.0000 0.0000 0.0000 x4
O 0.0000 0.4992 0.7500 x4
O 0.0668 0.2564 0.0655 x8
O 0.0856 0.2005 0.5843 x8
O 0.1526 0.0004 0.4249 x8
O 0.2391 0.2170 0.2389 x8


No. 4
Starting from a cell relaxed with PBE+U, the X-ray diffraction stick pattern of LiMnSiO4 was computed for Cu Kα (weighted mean of Kα1 and Kα2).
Neutral-atom scattering factors, no anomalous dispersion.

Principal peaks in the range 15° ≤ 2θ ≤ 90°, sorted by position:
(hkl)  2theta  d_spacing  Rel. int.
1 1 0  19.39  4.577  493
1 1 1  24.00  3.708  320
2 0 0  32.30  2.771  377
1 1 2  34.47  2.602  1000
1 3 0  36.98  2.431  364
2 4 2  64.05  1.454  333

a = 5.5427 Å, b = 8.1159 Å, c = 6.3251 Å
α = 90.00°, β = 90.00°, γ = 90.00°
Space group Cmcm (No. 63)
Unique sites:
Li 0.0000 0.1733 0.2500 x4
Mn 0.0000 0.5000 0.0000 x4
Si 0.0000 0.1539 0.7500 x4
O 0.0000 0.2673 0.5365 x8
O 0.2376 0.0276 0.7500 x8